Record 1
This entry pairs a crystal structure of NiWF2 with its simulated XRD peak list. Radiation: Cu Kα, 1.54184 Å. Structure: a GGA+U-relaxed structure.
No peak broadening, texture or thermal motion is included.

Most intense lines, 2θ = 5–70°, by angle:
2theta	I_rel	hkl
12.21	78	0 0 3
24.57	65	0 0 6
37.01	34	1 0 1
37.22	10	0 0 9
37.72	100	0 1 2
40.46	58	1 0 4
47.32	8	1 0 7
50.20	40	0 1 8
50.36	15	0 0 12
56.66	35	1 0 10
60.21	9	0 1 11
66.22	21	1 1 0

Structural model:
```
data_NiWF2
_cell_length_a 2.8227
_cell_length_b 2.8227
_cell_length_c 21.7425
_cell_angle_alpha 90.00
_cell_angle_beta 90.00
_cell_angle_gamma 120.00
_symmetry_space_group_name_H-M 'R -3 m'
_symmetry_Int_Tables_number 166
_symmetry_space_group_name_Hall '-R 3 2"'
loop_
_atom_site_label
_atom_site_type_symbol
_atom_site_fract_x
_atom_site_fract_y
_atom_site_fract_z
_atom_site_occupancy
Ni1 Ni 0.0000 0.0000 0.0000 1
W1 W 0.0000 0.0000 0.5000 1
F1 F 0.0000 0.0000 0.4046 1
```

Record 2
This entry pairs a crystal structure of BaLa3TiCr3O12 with its simulated XRD peak list. Radiation: Cu Kα, 1.54184 Å. Structure: a GGA+U-relaxed structure.
No peak broadening, texture or thermal motion is included.

Most intense lines, 2θ = 5–70°, by angle:
2theta	I_rel	hkl
22.34	9	0 0 2
22.48	18	1 2 0
31.78	48	1 2 -2
32.01	100	2 0 0
39.37	15	0 4 2
45.59	16	0 0 4
45.89	30	2 4 0
56.77	20	3 2 -2
56.89	11	1 6 -2
57.06	14	1 6 2
57.22	10	3 2 2
66.94	17	2 4 4

Structural model:
```
data_BaLa3TiCr3O12
_cell_length_a 5.592
_cell_length_b 11.190
_cell_length_c 7.959
_cell_angle_alpha 90.00
_cell_angle_beta 90.61
_cell_angle_gamma 90.00
_symmetry_space_group_name_H-M 'P 1 2/c 1'
_symmetry_Int_Tables_number 13
loop_
_symmetry_equiv_pos_as_xyz
'x,y,z'
'-x,-y,-z'
'-x,y,-z+1/2'
'x,-y,z+1/2'
loop_
_atom_site_label
_atom_site_type_symbol
_atom_site_fract_x
_atom_site_fract_y
_atom_site_fract_z
_atom_site_occupancy
Ba1 Ba 0.000 0.001 0.250 1
La1 La 0.000 0.499 0.250 1
La2 La 0.500 0.248 0.250 1
La3 La 0.500 0.255 0.750 1
Ti1 Ti 0.500 0.000 0.000 1
Cr1 Cr 0.005 0.253 0.500 1
Cr2 Cr 0.500 0.500 0.000 1
O1 O 0.000 0.243 0.250 1
O2 O 0.000 0.279 0.750 1
O3 O 0.199 0.401 0.020 1
O4 O 0.240 0.114 0.516 1
O5 O 0.287 0.144 0.983 1
O6 O 0.306 0.351 0.477 1
O7 O 0.500 0.020 0.250 1
O8 O 0.500 0.471 0.750 1
```